No. 1
Simulated X-ray powder pattern
Compound: Pt2PbS3
Radiation: a wavelength of 1.5418 Å
Structure: a structure optimized by DFT (PBE)
Neutral-atom scattering factors, no anomalous dispersion.

Most intense lines, 10° ≤ 2θ ≤ 90°, in order of rising 2θ:
| 2θ (°) | intensity |
| --- | --- |
| 15.17 | 49 |
| 17.48 | 25 |
| 24.80 | 19 |
| 29.18 | 100 |
| 35.39 | 77 |
| 38.71 | 52 |
| 46.49 | 14 |
| 50.84 | 38 |
| 63.47 | 14 |
| 71.47 | 14 |

Structure:
```
Pt2PbS3
1.0
3.592 2.074 5.840
-3.592 2.074 5.840
0.000 -4.148 5.840
Pt Pb S
4 2 6
Cartesian
0.000 0.000 0.000
-1.796 -1.037 5.840
-1.796 1.037 11.679
0.000 2.074 5.840
0.000 0.000 3.680
0.000 0.000 13.839
0.000 -2.057 7.038
-1.781 1.028 7.038
-1.781 -1.028 10.481
1.781 1.028 7.038
1.781 -1.028 10.481
0.000 2.057 10.481
```

No. 2
Simulated X-ray powder pattern
Compound: Sr2InBiSe5
Radiation: a wavelength of 1.5418 Å
Structure: a structure optimized by DFT (PBE)
Neutral-atom scattering factors, no anomalous dispersion.

Most intense lines, 10° ≤ 2θ ≤ 90°, in order of rising 2θ:
| 2θ (°) | intensity |
| --- | --- |
| 22.48 | 18 |
| 25.43 | 19 |
| 29.20 | 62 |
| 29.74 | 100 |
| 34.61 | 51 |
| 42.49 | 28 |
| 42.63 | 15 |
| 48.75 | 22 |
| 52.39 | 24 |
| 69.96 | 16 |

Structure:
```
Sr2InBiSe5
1.0
2.127 -9.436 0.000
2.127 9.436 0.000
0.000 0.000 13.059
Sr In Bi Se
4 2 2 10
Cartesian
2.127 7.331 6.530
2.127 7.032 1.745
2.127 -7.032 8.275
2.127 -7.331 0.000
2.127 1.073 3.427
2.127 -1.073 9.957
2.127 5.362 11.021
2.127 -5.362 4.492
2.127 8.565 11.505
2.127 4.139 6.493
2.127 3.547 2.372
2.127 2.598 10.712
2.127 0.101 7.676
2.127 -0.101 1.146
2.127 -2.598 4.183
2.127 -3.547 8.902
2.127 -4.139 13.022
2.127 -8.565 4.975
```